[1]
HoEr4Mg5: calculated X-ray powder pattern (CuKα), based on a DFT-relaxed cell (GGA-PBE, Alexandria).

Cell and atoms:
a b c (Å): 3.7736 3.7736 18.7669
angles (deg): 90.00 90.00 90.00
Space group P4/mmm (No. 123)
Symmetry-distinct sites (fractional):
Ho: 0.0000 0.0000 0.0000 [1 per cell]
Er: 0.0000 0.0000 0.2003 [2 per cell]
Er: 0.0000 0.0000 0.4001 [2 per cell]
Mg: 0.5000 0.5000 0.1006 [2 per cell]
Mg: 0.5000 0.5000 0.3002 [2 per cell]
Mg: 0.5000 0.5000 0.5000 [1 per cell]

Peak list (12 most intense, 2θ = 10–90°, by intensity)
- 2θ = 33.6°, d 2.664, intensity 100, (1 1 0)
- 2θ = 23.6°, d 3.774, intensity 43, (1 0 0)
- 2θ = 60.1°, d 1.539, intensity 25, (2 1 5)
- 2θ = 23.7°, d 3.753, intensity 21, (0 0 5)
- 2θ = 41.5°, d 2.175, intensity 20, (1 1 5)
- 2θ = 54.4°, d 1.687, intensity 18, (2 1 0)
- 2θ = 60.3°, d 1.535, intensity 12, (1 1 10)
- 2θ = 48.2°, d 1.887, intensity 12, (2 0 0)
- 2θ = 80.5°, d 1.193, intensity 11, (3 1 0)
- 2θ = 54.6°, d 1.680, intensity 9, (1 0 10)
- 2θ = 70.8°, d 1.331, intensity 8, (2 0 10)
- 2θ = 75.8°, d 1.255, intensity 7, (2 1 10)

---

[2]
Ho3Er4Mg2: calculated X-ray powder pattern (CuKα), based on a DFT-relaxed cell (GGA-PBE, Alexandria).

Cell and atoms:
a b c (Å): 14.6722 4.8755 7.7719
angles (deg): 90.00 108.62 90.00
Space group C2/m (No. 12)
Symmetry-distinct sites (fractional):
Ho: 0.0000 0.0000 0.0000 [2 per cell]
Ho: 0.1114 0.0000 0.6660 [4 per cell]
Er: 0.0560 0.5000 0.3346 [4 per cell]
Er: 0.2213 0.0000 0.3314 [4 per cell]
Mg: 0.1694 0.5000 0.9995 [4 per cell]

Peak list (12 most intense, 2θ = 10–90°, by intensity)
- 2θ = 31.6°, d 2.829, intensity 100, (3 1 -2)
- 2θ = 31.7°, d 2.820, intensity 100, (3 1 1)
- 2θ = 52.9°, d 1.729, intensity 35, (6 0 2)
- 2θ = 36.6°, d 2.455, intensity 34, (0 0 3)
- 2θ = 36.8°, d 2.445, intensity 33, (6 0 -1)
- 2θ = 36.9°, d 2.438, intensity 33, (0 2 0)
- 2θ = 62.9°, d 1.477, intensity 28, (3 1 4)
- 2θ = 63.2°, d 1.471, intensity 28, (3 3 1)
- 2θ = 12.0°, d 7.365, intensity 25, (0 0 1)
- 2θ = 53.0°, d 1.726, intensity 23, (6 2 -1)
- 2θ = 86.9°, d 1.121, intensity 18, (3 3 4)
- 2θ = 26.5°, d 3.362, intensity 17, (3 1 0)

---

[3]
Ho4ErMg5: calculated X-ray powder pattern (CuKα), based on a DFT-relaxed cell (GGA-PBE, Alexandria).

Cell and atoms:
a b c (Å): 3.7794 3.7794 18.8066
angles (deg): 90.00 90.00 90.00
Space group P4/mmm (No. 123)
Symmetry-distinct sites (fractional):
Ho: 0.0000 0.0000 0.1001 [2 per cell]
Ho: 0.0000 0.0000 0.3004 [2 per cell]
Er: 0.0000 0.0000 0.5000 [1 per cell]
Mg: 0.5000 0.5000 0.0000 [1 per cell]
Mg: 0.5000 0.5000 0.2002 [2 per cell]
Mg: 0.5000 0.5000 0.4007 [2 per cell]

Peak list (12 most intense, 2θ = 10–90°, by intensity)
- 2θ = 33.6°, d 2.668, intensity 100, (1 1 0)
- 2θ = 23.5°, d 3.779, intensity 43, (1 0 0)
- 2θ = 60.0°, d 1.542, intensity 25, (2 1 5)
- 2θ = 23.7°, d 3.761, intensity 21, (0 0 5)
- 2θ = 41.4°, d 2.179, intensity 20, (1 1 5)
- 2θ = 54.3°, d 1.689, intensity 18, (2 1 0)
- 2θ = 60.2°, d 1.538, intensity 12, (1 1 10)
- 2θ = 48.2°, d 1.890, intensity 12, (2 0 0)
- 2θ = 80.4°, d 1.195, intensity 11, (3 1 0)
- 2θ = 54.5°, d 1.684, intensity 9, (1 0 10)
- 2θ = 70.7°, d 1.333, intensity 8, (2 0 10)
- 2θ = 75.6°, d 1.257, intensity 7, (2 1 10)

---

[4]
Ho6Er2Mg: calculated X-ray powder pattern (CuKα), based on a DFT-relaxed cell (GGA-PBE, Alexandria).

Cell and atoms:
a b c (Å): 3.5241 3.5241 31.9461
angles (deg): 90.00 90.00 120.00
Space group P-6m2 (No. 187)
Symmetry-distinct sites (fractional):
Ho: 0.0000 0.0000 0.0856 [2 per cell]
Ho: 0.6667 0.3333 0.1736 [2 per cell]
Ho: 0.6667 0.3333 0.3493 [2 per cell]
Er: 0.0000 0.0000 0.2631 [2 per cell]
Mg: 0.6667 0.3333 0.0000 [1 per cell]

Peak list (12 most intense, 2θ = 10–90°, by intensity)
- 2θ = 33.9°, d 2.648, intensity 100, (1 0 6)
- 2θ = 32.5°, d 2.754, intensity 34, (1 0 5)
- 2θ = 29.3°, d 3.052, intensity 29, (1 0 0)
- 2θ = 51.9°, d 1.762, intensity 25, (1 1 0)
- 2θ = 57.6°, d 1.600, intensity 24, (1 0 17)
- 2θ = 30.8°, d 2.904, intensity 21, (0 0 11)
- 2θ = 31.4°, d 2.851, intensity 20, (1 0 4)
- 2θ = 61.6°, d 1.506, intensity 17, (1 1 11)
- 2θ = 63.4°, d 1.467, intensity 16, (2 0 6)
- 2θ = 86.3°, d 1.127, intensity 14, (2 1 6)
- 2θ = 33.7°, d 2.662, intensity 13, (0 0 12)
- 2θ = 43.0°, d 2.104, intensity 13, (1 0 11)

---

[5]
Ho6Er5Mg: calculated X-ray powder pattern (CuKα), based on a DFT-relaxed cell (GGA-PBE, Alexandria).

Cell and atoms:
a b c (Å): 11.5805 10.4918 6.0618
angles (deg): 90.00 99.95 90.00
Space group C2/m (No. 12)
Symmetry-distinct sites (fractional):
Ho: 0.2492 0.0000 0.2506 [4 per cell]
Ho: 0.2504 0.1670 0.7467 [8 per cell]
Er: 0.0000 0.0000 0.5000 [2 per cell]
Er: 0.0000 0.1652 0.0000 [4 per cell]
Er: 0.0000 0.3336 0.5000 [4 per cell]
Mg: 0.0000 0.5000 0.0000 [2 per cell]

Peak list (12 most intense, 2θ = 10–90°, by intensity)
- 2θ = 31.3°, d 2.855, intensity 100, (4 0 0)
- 2θ = 36.3°, d 2.472, intensity 51, (2 0 2)
- 2θ = 52.3°, d 1.749, intensity 30, (5 3 1)
- 2θ = 62.2°, d 1.491, intensity 28, (6 0 2)
- 2θ = 62.3°, d 1.490, intensity 14, (7 3 -1)
- 2θ = 85.6°, d 1.135, intensity 12, (6 6 2)
- 2θ = 65.3°, d 1.428, intensity 9, (2 6 2)
- 2θ = 88.4°, d 1.106, intensity 8, (8 6 0)
- 2θ = 52.4°, d 1.746, intensity 6, (6 0 -2)
- 2θ = 85.7°, d 1.133, intensity 6, (9 3 1)
- 2θ = 88.3°, d 1.106, intensity 6, (7 3 3)
- 2θ = 77.2°, d 1.236, intensity 4, (6 6 -2)

---

[6]
HoEr5Mg3: calculated X-ray powder pattern (CuKα), based on a DFT-relaxed cell (GGA-PBE, Alexandria).

Cell and atoms:
a b c (Å): 11.3265 9.0711 11.8924
angles (deg): 90.00 104.49 90.00
Space group C2/m (No. 12)
Symmetry-distinct sites (fractional):
Ho: 0.1177 0.0000 0.2653 [4 per cell]
Er: 0.0000 0.3079 0.0000 [4 per cell]
Er: 0.0874 0.5000 0.6319 [4 per cell]
Er: 0.1763 0.1828 0.7965 [8 per cell]
Er: 0.2241 0.5000 0.9320 [4 per cell]
Mg: 0.0000 0.0000 0.0000 [2 per cell]
Mg: 0.0000 0.0000 0.5000 [2 per cell]
Mg: 0.0799 0.5000 0.2124 [4 per cell]
Mg: 0.2378 0.5000 0.4394 [4 per cell]

Peak list (12 most intense, 2θ = 10–90°, by intensity)
- 2θ = 31.6°, d 2.828, intensity 100, (4 0 -1)
- 2θ = 31.1°, d 2.872, intensity 74, (1 3 -1)
- 2θ = 32.5°, d 2.758, intensity 63, (4 0 -2)
- 2θ = 31.8°, d 2.817, intensity 59, (2 2 -3)
- 2θ = 27.8°, d 3.205, intensity 48, (2 2 1)
- 2θ = 32.0°, d 2.796, intensity 43, (2 2 2)
- 2θ = 33.6°, d 2.664, intensity 38, (3 1 2)
- 2θ = 52.2°, d 1.752, intensity 35, (5 3 -3)
- 2θ = 18.3°, d 4.839, intensity 29, (1 1 -2)
- 2θ = 16.1°, d 5.512, intensity 28, (2 0 -1)
- 2θ = 28.3°, d 3.158, intensity 24, (1 1 3)
- 2θ = 59.7°, d 1.548, intensity 23, (1 5 -4)

---

[7]
Ho3Er5Mg: calculated X-ray powder pattern (CuKα), based on a DFT-relaxed cell (GGA-PBE, Alexandria).

Cell and atoms:
a b c (Å): 14.8352 11.3513 9.6260
angles (deg): 90.00 129.12 90.00
Space group C2/m (No. 12)
Symmetry-distinct sites (fractional):
Ho: 0.0000 0.0000 0.0000 [2 per cell]
Ho: 0.0000 0.5000 0.5000 [2 per cell]
Ho: 0.0142 0.0000 0.3266 [4 per cell]
Ho: 0.0192 0.5000 0.8581 [4 per cell]
Er: 0.0000 0.2409 0.5000 [4 per cell]
Er: 0.1538 0.2467 0.2520 [8 per cell]
Er: 0.2190 0.5000 0.5294 [4 per cell]
Er: 0.2264 0.0000 0.7469 [4 per cell]
Mg: 0.2480 0.0000 0.1074 [4 per cell]

Peak list (12 most intense, 2θ = 10–90°, by intensity)
- 2θ = 31.5°, d 2.838, intensity 100, (0 4 0)
- 2θ = 33.2°, d 2.696, intensity 71, (5 1 -3)
- 2θ = 29.4°, d 3.036, intensity 65, (2 2 1)
- 2θ = 32.6°, d 2.746, intensity 59, (1 1 -3)
- 2θ = 35.0°, d 2.566, intensity 58, (4 2 0)
- 2θ = 11.8°, d 7.468, intensity 45, (0 0 1)
- 2θ = 29.1°, d 3.070, intensity 44, (4 2 -2)
- 2θ = 40.3°, d 2.238, intensity 44, (5 3 -3)
- 2θ = 39.8°, d 2.266, intensity 40, (1 3 -3)
- 2θ = 32.8°, d 2.727, intensity 39, (2 2 -3)
- 2θ = 15.6°, d 5.676, intensity 38, (0 2 0)
- 2θ = 12.1°, d 7.307, intensity 36, (2 0 -1)

---

[8]
Ho6Er12Mg: calculated X-ray powder pattern (CuKα), based on a DFT-relaxed cell (GGA-PBE, Alexandria).

Cell and atoms:
a b c (Å): 12.8034 12.8034 12.6874
angles (deg): 90.00 90.00 120.00
Space group R-3m (No. 166, hexagonal axes)
Symmetry-distinct sites (fractional):
Ho: 0.0907 0.1814 0.2722 [18 per cell]
Er: 0.0000 0.2615 0.5000 [18 per cell]
Er: 0.0499 0.5250 0.6161 [18 per cell]
Mg: 0.0000 0.0000 0.5000 [3 per cell]

Peak list (12 most intense, 2θ = 10–90°, by intensity)
- 2θ = 33.1°, d 2.708, intensity 100, (4 0 1)
- 2θ = 32.2°, d 2.783, intensity 88, (0 3 3)
- 2θ = 32.4°, d 2.767, intensity 50, (3 1 2)
- 2θ = 29.3°, d 3.050, intensity 35, (1 0 4)
- 2θ = 49.7°, d 1.835, intensity 25, (3 0 6)
- 2θ = 35.3°, d 2.540, intensity 24, (0 4 2)
- 2θ = 58.4°, d 1.580, intensity 23, (4 3 4)
- 2θ = 13.8°, d 6.402, intensity 22, (1 1 0)
- 2θ = 36.0°, d 2.494, intensity 21, (3 2 1)
- 2θ = 25.5°, d 3.497, intensity 20, (1 2 2)
- 2θ = 32.5°, d 2.753, intensity 18, (0 2 4)
- 2θ = 62.8°, d 1.480, intensity 17, (3 4 5)